Entry 1:
Tb12PrDy7: calculated powder diffraction line list (a wavelength of 1.5418 Å), based on a structure optimized by DFT (GGA-PBE).
Kinematic intensities with the Lorentz-polarization factor, no thermal factor.

Main lines, in order of rising 2θ (2θ from 10° to 90°):
- 23.93°, I = 14.7, hkl 3 0 0
- 27.24°, I = 20.0, hkl 1 0 4
- 29.66°, I = 64.7, hkl 4 -3 1
- 30.65°, I = 42.4, hkl 0 2 4
- 31.79°, I = 100.0, hkl 3 1 2
- 39.26°, I = 32.3, hkl 3 -2 5
- 42.15°, I = 24.7, hkl 5 -1 3
- 47.37°, I = 12.6, hkl 1 5 2
- 51.25°, I = 14.6, hkl 2 5 0
- 55.33°, I = 15.2, hkl 7 -5 3
- 59.14°, I = 13.7, hkl 3 3 6
- 60.34°, I = 10.6, hkl 6 2 1

Crystal structure
```
data_Tb12PrDy7
_chemical_formula_sum 'Tb36 Pr3 Dy21'
_symmetry_space_group_name_H-M 'R -3'
_symmetry_Int_Tables_number 148
_symmetry_space_group_name_Hall '-R 3'
_cell_length_a 12.8531
_cell_length_b 12.8531
_cell_length_c 13.7000
_cell_angle_alpha 90.00
_cell_angle_beta 90.00
_cell_angle_gamma 120.00
loop_
_atom_site_label
_atom_site_type_symbol
_atom_site_fract_x
_atom_site_fract_y
_atom_site_fract_z
Tb1 Tb 0.0035 0.5675 0.2470
Tb2 Tb 0.0679 0.8690 0.3444
Pr1 Pr 0.0000 0.0000 0.0000
Dy1 Dy 0.0000 0.0000 0.5000
Dy2 Dy 0.0679 0.2020 0.8509
```

Entry 2:
Tb5Pr3Dy4: calculated powder diffraction line list (a wavelength of 1.5418 Å), based on a structure optimized by DFT (GGA-PBE).
Kinematic intensities with the Lorentz-polarization factor, no thermal factor.

Main lines, in order of rising 2θ (2θ from 10° to 90°):
- 30.49°, I = 100.0, hkl 2 0 1
- 35.35°, I = 50.7, hkl 1 2 2
- 50.82°, I = 24.1, hkl 0 4 0
- 50.91°, I = 12.0, hkl 3 2 0
- 60.38°, I = 14.4, hkl 4 0 -1
- 60.46°, I = 21.5, hkl 1 2 5
- 60.57°, I = 7.1, hkl 3 2 3
- 63.39°, I = 6.2, hkl 0 0 6
- 63.50°, I = 6.2, hkl 4 0 2
- 82.75°, I = 5.9, hkl 5 -2 1
- 82.95°, I = 7.4, hkl 5 2 1
- 85.51°, I = 6.9, hkl 0 4 6

Crystal structure
```
data_Tb5Pr3Dy4
_chemical_formula_sum 'Tb5 Pr3 Dy4'
_symmetry_space_group_name_H-M 'P -1'
_symmetry_Int_Tables_number 2
_symmetry_space_group_name_Hall '-P 1'
_cell_length_a 6.2207
_cell_length_b 7.1809
_cell_length_c 8.7984
_cell_angle_alpha 90.01
_cell_angle_beta 90.13
_cell_angle_gamma 90.17
loop_
_atom_site_label
_atom_site_type_symbol
_atom_site_fract_x
_atom_site_fract_y
_atom_site_fract_z
Tb1 Tb 0.0000 0.0000 0.0000
Tb2 Tb 0.3352 0.4996 0.3332
Tb3 Tb 0.4986 0.7517 0.9997
Pr1 Pr 0.0000 0.5000 0.0000
Pr2 Pr 0.1662 0.2490 0.6656
Dy1 Dy 0.1686 0.7514 0.6665
Dy2 Dy 0.3337 0.0002 0.3327
```

Entry 3:
Tb7PrDy5: calculated powder diffraction line list (a wavelength of 1.5418 Å), based on a structure optimized by DFT (GGA-PBE).
Kinematic intensities with the Lorentz-polarization factor, no thermal factor.

Main lines, in order of rising 2θ (2θ from 10° to 90°):
- 26.67°, I = 23.2, hkl 2 0 0
- 27.45°, I = 28.1, hkl 1 3 0
- 30.84°, I = 100.0, hkl 0 0 4
- 31.19°, I = 56.2, hkl 2 2 0
- 31.56°, I = 77.1, hkl 1 3 2
- 32.09°, I = 19.2, hkl 0 4 0
- 34.91°, I = 81.0, hkl 2 2 2
- 35.72°, I = 29.4, hkl 0 4 2
- 44.43°, I = 18.5, hkl 2 2 4
- 56.65°, I = 26.3, hkl 2 6 0
- 57.47°, I = 31.5, hkl 2 2 6
- 65.89°, I = 26.1, hkl 2 6 4

Crystal structure
```
data_Tb7PrDy5
_chemical_formula_sum 'Tb14 Pr2 Dy10'
_symmetry_space_group_name_H-M 'I m m 2'
_symmetry_Int_Tables_number 44
_symmetry_space_group_name_Hall 'I 2 -2'
_cell_length_a 6.6813
_cell_length_b 11.1564
_cell_length_c 11.6076
_cell_angle_alpha 90.00
_cell_angle_beta 90.00
_cell_angle_gamma 90.00
loop_
_atom_site_label
_atom_site_type_symbol
_atom_site_fract_x
_atom_site_fract_y
_atom_site_fract_z
Tb1 Tb 0.0000 0.0000 0.0000
Tb2 Tb 0.0000 0.0000 0.3046
Tb3 Tb 0.0000 0.3300 0.2476
Tb4 Tb 0.0000 0.3303 0.7473
Tb5 Tb 0.0000 0.5000 0.4987
Pr1 Pr 0.0000 0.0000 0.6969
Dy1 Dy 0.0000 0.5000 0.9945
Dy2 Dy 0.2345 0.2302 0.4968
```

Entry 4:
TbPr3Dy5: calculated powder diffraction line list (a wavelength of 1.5418 Å), based on a structure optimized by DFT (GGA-PBE).
Kinematic intensities with the Lorentz-polarization factor, no thermal factor.

Main lines, in order of rising 2θ (2θ from 10° to 90°):
- 11.58°, I = 17.3, hkl 0 0 1
- 15.56°, I = 37.0, hkl 0 2 0
- 28.16°, I = 26.7, hkl 4 2 -2
- 29.06°, I = 60.6, hkl 2 2 1
- 30.44°, I = 22.4, hkl 4 0 0
- 31.41°, I = 71.5, hkl 0 4 0
- 31.75°, I = 100.0, hkl 5 1 -3
- 31.91°, I = 25.0, hkl 2 2 -3
- 34.36°, I = 42.1, hkl 4 2 0
- 38.97°, I = 30.3, hkl 1 3 -3
- 39.04°, I = 39.8, hkl 5 3 -3
- 50.92°, I = 33.1, hkl 5 5 -3

Crystal structure
```
data_TbPr3Dy5
_chemical_formula_sum 'Tb4 Pr12 Dy20'
_symmetry_space_group_name_H-M 'C 1 2/m 1'
_symmetry_Int_Tables_number 12
_symmetry_space_group_name_Hall '-C 2y'
_cell_length_a 15.4320
_cell_length_b 11.3913
_cell_length_c 10.0451
_cell_angle_alpha 90.00
_cell_angle_beta 130.43
_cell_angle_gamma 90.00
loop_
_atom_site_label
_atom_site_type_symbol
_atom_site_fract_x
_atom_site_fract_y
_atom_site_fract_z
Tb1 Tb 0.2469 0.0000 0.4003
Pr1 Pr 0.0000 0.0000 0.0000
Pr2 Pr 0.0000 0.5000 0.5000
Pr3 Pr 0.0079 0.5000 0.8094
Pr4 Pr 0.0233 0.0000 0.3614
Dy1 Dy 0.0000 0.2568 0.0000
Dy2 Dy 0.1588 0.2500 0.7523
Dy3 Dy 0.2184 0.5000 0.2252
Dy4 Dy 0.2226 0.0000 0.0379
```

Entry 5:
Tb3PrDy5: calculated powder diffraction line list (a wavelength of 1.5418 Å), based on a structure optimized by DFT (GGA-PBE).
Kinematic intensities with the Lorentz-polarization factor, no thermal factor.

Main lines, in order of rising 2θ (2θ from 10° to 90°):
- 28.23°, I = 20.2, hkl 1 1 -3
- 28.50°, I = 31.0, hkl 3 1 -3
- 29.51°, I = 23.5, hkl 0 2 0
- 30.33°, I = 100.0, hkl 6 0 0
- 31.23°, I = 59.0, hkl 2 2 0
- 31.47°, I = 95.2, hkl 1 1 3
- 32.20°, I = 78.3, hkl 5 1 -3
- 35.95°, I = 31.3, hkl 4 2 0
- 37.42°, I = 21.9, hkl 3 1 3
- 51.18°, I = 18.9, hkl 8 2 0
- 54.11°, I = 32.4, hkl 7 1 3
- 57.67°, I = 23.0, hkl 4 2 -6

Crystal structure
```
data_Tb3PrDy5
_chemical_formula_sum 'Tb12 Pr4 Dy20'
_symmetry_space_group_name_H-M 'C 1 2/c 1'
_symmetry_Int_Tables_number 15
_symmetry_space_group_name_Hall '-C 2yc'
_cell_length_a 19.0090
_cell_length_b 6.0547
_cell_length_c 11.3005
_cell_angle_alpha 90.00
_cell_angle_beta 111.55
_cell_angle_gamma 90.00
loop_
_atom_site_label
_atom_site_type_symbol
_atom_site_fract_x
_atom_site_fract_y
_atom_site_fract_z
Tb1 Tb 0.0000 0.0000 0.0000
Tb2 Tb 0.1769 0.2291 0.3678
Pr1 Pr 0.0000 0.0954 0.2500
Dy1 Dy 0.0000 0.4146 0.7500
Dy2 Dy 0.1652 0.2495 0.7016
Dy3 Dy 0.1678 0.2686 0.0305
```

Entry 6:
TbPr12Dy6: calculated powder diffraction line list (a wavelength of 1.5418 Å), based on a structure optimized by DFT (GGA-PBE).
Kinematic intensities with the Lorentz-polarization factor, no thermal factor.

Main lines, in order of rising 2θ (2θ from 10° to 90°):
- 22.92°, I = 9.3, hkl 3 -1 1
- 30.16°, I = 40.7, hkl 0 1 5
- 30.69°, I = 25.8, hkl 0 3 3
- 30.95°, I = 100.0, hkl 4 -3 1
- 32.20°, I = 64.9, hkl 2 1 4
- 32.58°, I = 31.8, hkl 3 1 2
- 34.08°, I = 17.7, hkl 4 -2 3
- 44.00°, I = 12.5, hkl 3 2 4
- 46.09°, I = 8.6, hkl 4 -2 6
- 53.97°, I = 18.8, hkl 2 5 0
- 56.79°, I = 11.5, hkl 1 5 5
- 57.11°, I = 12.7, hkl 5 2 3

Crystal structure
```
data_TbPr12Dy6
_chemical_formula_sum 'Tb3 Pr36 Dy18'
_symmetry_space_group_name_H-M 'R -3'
_symmetry_Int_Tables_number 148
_symmetry_space_group_name_Hall '-R 3'
_cell_length_a 12.2472
_cell_length_b 12.2472
_cell_length_c 15.4311
_cell_angle_alpha 90.00
_cell_angle_beta 90.00
_cell_angle_gamma 120.00
loop_
_atom_site_label
_atom_site_type_symbol
_atom_site_fract_x
_atom_site_fract_y
_atom_site_fract_z
Tb1 Tb 0.0000 0.0000 0.0000
Pr1 Pr 0.0020 0.1735 0.1916
Pr2 Pr 0.0476 0.1984 0.4164
Dy1 Dy 0.0167 0.5881 0.6872
```

Entry 7:
Tb4Pr2Dy5: calculated powder diffraction line list (a wavelength of 1.5418 Å), based on a structure optimized by DFT (GGA-PBE).
Kinematic intensities with the Lorentz-polarization factor, no thermal factor.

Main lines, in order of rising 2θ (2θ from 10° to 90°):
- 25.96°, I = 24.4, hkl 1 1 0
- 29.47°, I = 23.8, hkl 3 1 -1
- 30.38°, I = 91.3, hkl 3 1 1
- 30.62°, I = 100.0, hkl 8 0 -1
- 30.84°, I = 95.9, hkl 2 0 -3
- 32.24°, I = 81.9, hkl 6 0 2
- 36.94°, I = 59.3, hkl 5 1 -2
- 39.37°, I = 26.2, hkl 5 1 2
- 56.33°, I = 31.6, hkl 14 0 1
- 62.27°, I = 27.6, hkl 8 2 -1
- 62.39°, I = 26.3, hkl 2 2 -3
- 63.21°, I = 24.2, hkl 6 2 2

Crystal structure
```
data_Tb4Pr2Dy5
_chemical_formula_sum 'Tb8 Pr4 Dy10'
_symmetry_space_group_name_H-M 'C 1 2/m 1'
_symmetry_Int_Tables_number 12
_symmetry_space_group_name_Hall '-C 2y'
_cell_length_a 23.9499
_cell_length_b 3.4688
_cell_length_c 8.7711
_cell_angle_alpha 90.00
_cell_angle_beta 96.63
_cell_angle_gamma 90.00
loop_
_atom_site_label
_atom_site_type_symbol
_atom_site_fract_x
_atom_site_fract_y
_atom_site_fract_z
Tb1 Tb 0.0458 0.0000 0.3601
Tb2 Tb 0.1782 0.5000 0.4725
Pr1 Pr 0.0919 0.0000 0.7420
Dy1 Dy 0.0000 0.5000 0.0000
Dy2 Dy 0.1415 0.0000 0.1223
Dy3 Dy 0.2335 0.0000 0.8264
```

Entry 8:
TbPr12Dy5: calculated powder diffraction line list (a wavelength of 1.5418 Å), based on a structure optimized by DFT (GGA-PBE).
Kinematic intensities with the Lorentz-polarization factor, no thermal factor.

Main lines, in order of rising 2θ (2θ from 10° to 90°):
- 29.89°, I = 100.0, hkl 3 1 0
- 34.60°, I = 34.0, hkl 0 2 0
- 34.76°, I = 16.7, hkl 3 0 3
- 49.76°, I = 18.2, hkl 3 2 -3
- 49.86°, I = 18.1, hkl 6 0 0
- 59.11°, I = 29.0, hkl 3 3 0
- 59.33°, I = 14.2, hkl 6 1 3
- 62.10°, I = 12.5, hkl 6 2 0
- 80.81°, I = 5.9, hkl 6 3 -3
- 80.97°, I = 8.8, hkl 6 3 3
- 83.37°, I = 9.6, hkl 6 2 -6
- 83.70°, I = 4.0, hkl 6 2 6

Crystal structure
```
data_TbPr12Dy5
_chemical_formula_sum 'Tb1 Pr12 Dy5'
_symmetry_space_group_name_H-M 'P 1 2/m 1'
_symmetry_Int_Tables_number 10
_symmetry_space_group_name_Hall '-P 2y'
_cell_length_a 10.9654
_cell_length_b 5.1876
_cell_length_c 10.9800
_cell_angle_alpha 90.00
_cell_angle_beta 90.24
_cell_angle_gamma 90.00
loop_
_atom_site_label
_atom_site_type_symbol
_atom_site_fract_x
_atom_site_fract_y
_atom_site_fract_z
Tb1 Tb 0.0000 0.0000 0.0000
Pr1 Pr 0.0020 0.0000 0.6685
Pr2 Pr 0.1648 0.5000 0.1649
Pr3 Pr 0.1688 0.5000 0.5021
Pr4 Pr 0.3314 0.0000 0.9981
Pr5 Pr 0.3356 0.0000 0.3355
Pr6 Pr 0.4978 0.5000 0.8313
Dy1 Dy 0.1667 0.5000 0.8333
Dy2 Dy 0.3332 0.0000 0.6668
Dy3 Dy 0.5000 0.5000 0.5000
```

Entry 9:
Tb6Pr2Dy3: calculated powder diffraction line list (a wavelength of 1.5418 Å), based on a structure optimized by DFT (GGA-PBE).
Kinematic intensities with the Lorentz-polarization factor, no thermal factor.

Main lines, in order of rising 2θ (2θ from 10° to 90°):
- 30.87°, I = 100.0, hkl 1 3 1
- 35.80°, I = 50.6, hkl 2 0 2
- 51.52°, I = 35.9, hkl 0 6 0
- 61.24°, I = 28.4, hkl 2 6 -2
- 61.37°, I = 14.2, hkl 4 0 0
- 64.33°, I = 12.2, hkl 2 6 2
- 75.78°, I = 3.8, hkl 2 6 -6
- 76.01°, I = 1.9, hkl 4 0 4
- 84.03°, I = 5.9, hkl 1 9 1
- 84.14°, I = 11.7, hkl 4 6 0
- 86.76°, I = 11.0, hkl 4 6 -4
- 86.95°, I = 5.5, hkl 5 3 1

Crystal structure
```
data_Tb6Pr2Dy3
_chemical_formula_sum 'Tb12 Pr4 Dy6'
_symmetry_space_group_name_H-M 'C 1 2/m 1'
_symmetry_Int_Tables_number 12
_symmetry_space_group_name_Hall '-C 2y'
_cell_length_a 6.1398
_cell_length_b 10.6485
_cell_length_c 11.7720
_cell_angle_alpha 90.00
_cell_angle_beta 100.16
_cell_angle_gamma 90.00
loop_
_atom_site_label
_atom_site_type_symbol
_atom_site_fract_x
_atom_site_fract_y
_atom_site_fract_z
Tb1 Tb 0.2491 0.0000 0.2462
Tb2 Tb 0.2489 0.3334 0.2462
Pr1 Pr 0.0000 0.3332 0.5000
Dy1 Dy 0.0000 0.1651 0.0000
Dy2 Dy 0.0000 0.5000 0.0000
```

Entry 10:
Tb3Pr5Dy4: calculated powder diffraction line list (a wavelength of 1.5418 Å), based on a structure optimized by DFT (GGA-PBE).
Kinematic intensities with the Lorentz-polarization factor, no thermal factor.

Main lines, in order of rising 2θ (2θ from 10° to 90°):
- 28.15°, I = 41.9, hkl 1 1 3
- 30.46°, I = 68.5, hkl 0 2 0
- 30.89°, I = 36.7, hkl 2 0 3
- 31.01°, I = 38.6, hkl 2 0 -5
- 31.36°, I = 100.0, hkl 3 1 -1
- 33.39°, I = 49.7, hkl 1 1 4
- 43.98°, I = 57.7, hkl 2 2 -5
- 51.24°, I = 14.5, hkl 0 0 8
- 54.70°, I = 20.8, hkl 3 3 -1
- 56.01°, I = 16.9, hkl 6 0 -3
- 60.78°, I = 16.6, hkl 0 2 8
- 72.22°, I = 13.2, hkl 2 4 -5

Crystal structure
```
data_Tb3Pr5Dy4
_chemical_formula_sum 'Tb6 Pr10 Dy8'
_symmetry_space_group_name_H-M 'C 1 2/m 1'
_symmetry_Int_Tables_number 12
_symmetry_space_group_name_Hall '-C 2y'
_cell_length_a 9.8552
_cell_length_b 5.8687
_cell_length_c 15.0738
_cell_angle_alpha 90.00
_cell_angle_beta 108.86
_cell_angle_gamma 90.00
loop_
_atom_site_label
_atom_site_type_symbol
_atom_site_fract_x
_atom_site_fract_y
_atom_site_fract_z
Tb1 Tb 0.0000 0.0000 0.0000
Tb2 Tb 0.2046 0.5000 0.2486
Pr1 Pr 0.0000 0.5000 0.0000
Pr2 Pr 0.0450 0.0000 0.2461
Pr3 Pr 0.1684 0.0000 0.4992
Dy1 Dy 0.0618 0.5000 0.6245
Dy2 Dy 0.1771 0.5000 0.8568
```

Entry 11:
TbPr14Dy: calculated powder diffraction line list (a wavelength of 1.5418 Å), based on a structure optimized by DFT (GGA-PBE).
Kinematic intensities with the Lorentz-polarization factor, no thermal factor.

Main lines, in order of rising 2θ (2θ from 10° to 90°):
- 29.63°, I = 100.0, hkl 2 0 2
- 34.34°, I = 50.7, hkl 2 2 0
- 49.36°, I = 36.4, hkl 4 0 0
- 58.63°, I = 43.4, hkl 4 2 2
- 61.51°, I = 12.5, hkl 4 0 4
- 72.27°, I = 1.9, hkl 0 0 8
- 72.44°, I = 3.8, hkl 4 4 0
- 80.10°, I = 17.6, hkl 6 0 2
- 82.54°, I = 5.4, hkl 2 2 8
- 82.67°, I = 10.9, hkl 6 2 0

Crystal structure
```
data_TbPr14Dy
_chemical_formula_sum 'Tb1 Pr14 Dy1'
_symmetry_space_group_name_H-M 'P 4/m m m'
_symmetry_Int_Tables_number 123
_symmetry_space_group_name_Hall '-P 4 2'
_cell_length_a 7.3806
_cell_length_b 7.3806
_cell_length_c 10.4580
_cell_angle_alpha 90.00
_cell_angle_beta 90.00
_cell_angle_gamma 90.00
loop_
_atom_site_label
_atom_site_type_symbol
_atom_site_fract_x
_atom_site_fract_y
_atom_site_fract_z
Tb1 Tb 0.0000 0.0000 0.0000
Pr1 Pr 0.0000 0.0000 0.5000
Pr2 Pr 0.0000 0.5000 0.0000
Pr3 Pr 0.0000 0.5000 0.5000
Pr4 Pr 0.2503 0.2503 0.2475
Pr5 Pr 0.5000 0.5000 0.5000
Dy1 Dy 0.5000 0.5000 0.0000
```

Entry 12:
Tb3Pr9Dy2: calculated powder diffraction line list (a wavelength of 1.5418 Å), based on a structure optimized by DFT (GGA-PBE).
Kinematic intensities with the Lorentz-polarization factor, no thermal factor.

Main lines, in order of rising 2θ (2θ from 10° to 90°):
- 11.17°, I = 11.9, hkl 1 0 0
- 25.39°, I = 25.3, hkl 0 0 4
- 29.55°, I = 44.0, hkl 2 0 3
- 30.53°, I = 84.6, hkl 2 1 1
- 32.16°, I = 24.5, hkl 1 1 4
- 32.51°, I = 100.0, hkl 2 1 2
- 33.89°, I = 28.4, hkl 1 0 5
- 35.60°, I = 25.3, hkl 2 1 3
- 52.95°, I = 52.8, hkl 1 4 0
- 59.62°, I = 17.5, hkl 1 4 4
- 60.71°, I = 11.8, hkl 2 3 5
- 63.54°, I = 10.9, hkl 4 2 2

Crystal structure
```
data_Tb3Pr9Dy2
_chemical_formula_sum 'Tb6 Pr18 Dy4'
_symmetry_space_group_name_H-M 'P 63/m'
_symmetry_Int_Tables_number 176
_symmetry_space_group_name_Hall '-P 6c'
_cell_length_a 9.1476
_cell_length_b 9.1476
_cell_length_c 14.0316
_cell_angle_alpha 90.00
_cell_angle_beta 90.00
_cell_angle_gamma 120.00
loop_
_atom_site_label
_atom_site_type_symbol
_atom_site_fract_x
_atom_site_fract_y
_atom_site_fract_z
Tb1 Tb 0.0799 0.2501 0.2500
Pr1 Pr 0.0788 0.4815 0.7500
Pr2 Pr 0.1320 0.7267 0.5406
Dy1 Dy 0.3333 0.6667 0.1428
```